TlFeRe2O8: calculated X-ray diffraction stick pattern (Cu Ka), based on DFT lattice parameters and positions (PBE+U).
Lines closer than 0.1° are merged.

Cell and atoms:
Cell: 9.0701 9.0701 9.0701 Å, 37.60 37.60 37.60°
Sites, in units of the cell vectors:
Tl 0.0000 0.0000 0.0000
Fe 0.5000 0.5000 0.5000
Re 0.2383 0.2383 0.2383
Re 0.7617 0.7617 0.7617
O 0.1151 0.6200 0.6200
O 0.3083 0.3083 0.3083
O 0.3800 0.3800 0.8849
O 0.3800 0.8849 0.3800
O 0.6200 0.1151 0.6200
O 0.6200 0.6200 0.1151
O 0.6917 0.6917 0.6917
O 0.8849 0.3800 0.3800

Principal peaks in the range 5 to 70 degrees two-theta, by intensity:
d [Å]	intensity
3.950	100
2.923	43
1.831	24
2.679	22
2.350	16
1.975	14
3.576	13
1.708	12
1.637	10
2.024	9